(1)
Structure and simulated powder X-ray diffraction pattern of NaLaGa4Se8 (the PBE geometry in the Materials Project; Cu Kα X-rays).
Peak positions follow from Bragg's law for the DFT cell and can differ from measured ones.

Most intense lines, 5° ≤ 2θ ≤ 70°, in order of rising 2θ:
d/Å, 2θ (°), intensity
7.614, 11.62, 18
5.391, 16.44, 28
3.858, 23.05, 34
3.131, 28.51, 20
3.010, 29.68, 100
2.698, 33.21, 23
2.458, 36.55, 76
2.405, 37.40, 15
1.816, 50.25, 36
1.773, 51.54, 22

Structural model:
```
data_NaLaGa4Se8
_chemical_formula_sum 'Na4 La4 Ga16 Se32'
_symmetry_space_group_name_H-M 'P 1'
_symmetry_Int_Tables_number 1
_symmetry_space_group_name_Hall 'P 1'
_cell_length_a 15.2274
_cell_length_b 12.5655
_cell_length_c 12.5262
_cell_angle_alpha 74.73
_cell_angle_beta 52.75
_cell_angle_gamma 52.52
loop_
_atom_site_label
_atom_site_type_symbol
_atom_site_fract_x
_atom_site_fract_y
_atom_site_fract_z
Na1 Na 0.1219 0.1219 0.6281
Na2 Na 0.3719 0.3719 0.8781
Na3 Na 0.6281 0.6281 0.1219
Na4 Na 0.8781 0.8781 0.3719
La1 La 0.1250 0.1250 0.1250
La2 La 0.3750 0.3750 0.3750
La3 La 0.6250 0.6250 0.6250
La4 La 0.8750 0.8750 0.8750
Ga1 Ga 0.0293 0.4716 0.8606
Ga2 Ga 0.1115 0.3841 0.3679
Ga3 Ga 0.1385 0.8606 0.4716
Ga4 Ga 0.1394 0.8615 0.9707
Ga5 Ga 0.3635 0.6321 0.6159
Ga6 Ga 0.3679 0.6365 0.1115
Ga7 Ga 0.3841 0.1115 0.6365
Ga8 Ga 0.4716 0.0293 0.1385
Ga9 Ga 0.5284 0.9707 0.8615
Ga10 Ga 0.6159 0.8885 0.3635
Ga11 Ga 0.6321 0.3635 0.8885
Ga12 Ga 0.6365 0.3679 0.3841
Ga13 Ga 0.8606 0.1385 0.0293
Ga14 Ga 0.8615 0.1394 0.5284
Ga15 Ga 0.8885 0.6159 0.6321
Ga16 Ga 0.9707 0.5284 0.1394
Se1 Se 0.0825 0.5905 0.9141
Se2 Se 0.0859 0.0870 0.9175
Se3 Se 0.0870 0.0859 0.4095
Se4 Se 0.0927 0.5795 0.4107
Se5 Se 0.1533 0.8428 0.6613
Se6 Se 0.1575 0.3387 0.1572
Se7 Se 0.1572 0.8467 0.1575
Se8 Se 0.1809 0.3162 0.6519
Se9 Se 0.3162 0.1809 0.3510
Se10 Se 0.3387 0.1575 0.8467
Se11 Se 0.3481 0.6490 0.8191
Se12 Se 0.3510 0.6519 0.3162
Se13 Se 0.4095 0.9175 0.0870
Se14 Se 0.4107 0.4171 0.0927
Se15 Se 0.4171 0.4107 0.5795
Se16 Se 0.4205 0.9073 0.5829
Se17 Se 0.5795 0.0927 0.4171
Se18 Se 0.5829 0.5893 0.4205
Se19 Se 0.5893 0.5829 0.9073
Se20 Se 0.5905 0.0825 0.9130
Se21 Se 0.6490 0.3481 0.6838
Se22 Se 0.6519 0.3510 0.1809
Se23 Se 0.6613 0.8425 0.1533
Se24 Se 0.6838 0.8191 0.6490
Se25 Se 0.8191 0.6838 0.3481
Se26 Se 0.8428 0.1533 0.8425
Se27 Se 0.8425 0.6613 0.8428
Se28 Se 0.8467 0.1572 0.3387
Se29 Se 0.9073 0.4205 0.5893
Se30 Se 0.9130 0.9141 0.5905
Se31 Se 0.9141 0.9130 0.0825
Se32 Se 0.9175 0.4095 0.0859
```

***

(2)
Structure and simulated powder X-ray diffraction pattern of Mg5Ga (the PBE geometry in the Materials Project; Cu Kα X-rays).
Peak positions follow from Bragg's law for the DFT cell and can differ from measured ones.

Most intense lines, 5° ≤ 2θ ≤ 70°, in order of rising 2θ:
d/Å, 2θ (°), intensity
8.215, 10.77, 37
4.304, 20.64, 17
2.738, 32.70, 14
2.715, 32.99, 28
2.526, 35.53, 38
2.408, 37.35, 51
2.391, 37.61, 100
1.849, 49.27, 17
1.576, 58.56, 17
1.431, 65.18, 19

Structural model:
```
data_Mg5Ga
_chemical_formula_sum 'Mg5 Ga1'
_symmetry_space_group_name_H-M 'P 1'
_symmetry_Int_Tables_number 1
_symmetry_space_group_name_Hall 'P 1'
_cell_length_a 5.0529
_cell_length_b 8.3623
_cell_length_c 8.3623
_cell_angle_alpha 21.54
_cell_angle_beta 90.00
_cell_angle_gamma 90.00
loop_
_atom_site_label
_atom_site_type_symbol
_atom_site_fract_x
_atom_site_fract_y
_atom_site_fract_z
Mg1 Mg 0.0000 0.0000 0.0000
Mg2 Mg 0.0000 0.3293 0.3293
Mg3 Mg 0.5000 0.1106 0.1106
Mg4 Mg 0.5000 0.4422 0.4422
Mg5 Mg 0.5000 0.7747 0.7747
Ga1 Ga 0.0000 0.6651 0.6651
```